No. 1
# BaSeS
Simulated X-ray powder pattern, Cu Ka. Input: the PBE geometry in Alexandria.

Structure:
Cell: 13.8790 13.8790 8.7834 Å, 90.01 90.01 19.73°
Fractional coordinates of all 18 atoms:
Ba: 0.9998 0.0002 0.2500
Ba: 0.0002 0.9998 0.7500
Ba: 0.3331 0.3339 0.2508
Ba: 0.3339 0.3331 0.7508
Ba: 0.6661 0.6669 0.2492
Ba: 0.6669 0.6661 0.7492
Se: 0.0000 0.5000 0.0000
Se: 0.1674 0.6585 0.0005
Se: 0.3415 0.8326 0.4995
Se: 0.5000 0.0000 0.5000
Se: 0.6585 0.1674 0.5005
Se: 0.8326 0.3415 0.9995
S: 0.1609 0.1726 0.4990
S: 0.1726 0.1609 0.9990
S: 0.5000 0.5000 0.0000
S: 0.5000 0.5000 0.5000
S: 0.8274 0.8391 0.0010
S: 0.8391 0.8274 0.5010

Largest 8 diffraction maxima, in order of rising 2θ, 2θ from 10° to 80°:
d_spacing	intensity
4.216	38
4.133	23
3.163	63
3.041	100
2.279	24
2.212	40
2.108	38
1.521	27



No. 2
# Ho4MgIr2
Simulated X-ray powder pattern, Cu Ka. Input: the PBE geometry in Alexandria.

Structure:
Cell: 7.2546 7.2616 7.6408 Å, 105.87 105.83 96.08°
Fractional coordinates of all 14 atoms:
Ho: 0.0000 0.0000 0.0000
Ho: 0.0024 0.9705 0.5229
Ho: 0.4141 0.9850 0.3900
Ho: 0.4313 0.4300 0.2537
Ho: 0.4454 0.0162 0.8634
Ho: 0.4606 0.4281 0.7305
Ho: 0.9577 0.4733 0.1270
Ho: 0.9645 0.4655 0.6268
Mg: 0.6544 0.7746 0.1263
Mg: 0.6615 0.7695 0.6268
Ir: 0.1472 0.2455 0.3721
Ir: 0.1858 0.2837 0.8818
Ir: 0.2568 0.6875 0.5090
Ir: 0.7433 0.1739 0.7447

Largest 8 diffraction maxima, in order of rising 2θ, 2θ from 10° to 80°:
d_spacing	intensity
6.848	100
2.815	87
2.773	92
2.699	55
2.619	50
2.266	52
2.244	54
2.215	46



What did the first record say?
# BaSeS
Simulated X-ray powder pattern, Cu Ka. Input: the PBE geometry in Alexandria.

Structure:
Cell: 13.8790 13.8790 8.7834 Å, 90.01 90.01 19.73°
Fractional coordinates of all 18 atoms:
Ba: 0.9998 0.0002 0.2500
Ba: 0.0002 0.9998 0.7500
Ba: 0.3331 0.3339 0.2508
Ba: 0.3339 0.3331 0.7508
Ba: 0.6661 0.6669 0.2492
Ba: 0.6669 0.6661 0.7492
Se: 0.0000 0.5000 0.0000
Se: 0.1674 0.6585 0.0005
Se: 0.3415 0.8326 0.4995
Se: 0.5000 0.0000 0.5000
Se: 0.6585 0.1674 0.5005
Se: 0.8326 0.3415 0.9995
S: 0.1609 0.1726 0.4990
S: 0.1726 0.1609 0.9990
S: 0.5000 0.5000 0.0000
S: 0.5000 0.5000 0.5000
S: 0.8274 0.8391 0.0010
S: 0.8391 0.8274 0.5010

Largest 8 diffraction maxima, in order of rising 2θ, 2θ from 10° to 80°:
d_spacing	intensity
4.216	38
4.133	23
3.163	63
3.041	100
2.279	24
2.212	40
2.108	38
1.521	27